Ac4Pd4O11: calculated powder XRD pattern (Cu Kα X-rays), based on a GGA-PBE-relaxed structure.
Intensities are scaled so that the largest is 100.

Most intense lines, 2θ from 10° to 90°, sorted by position:
hkl 0 0 2, 2θ 30.35, d = 2.945 Å, rel. 39; hkl 1 2 -1, 2θ 31.07, d = 2.878 Å, rel. 96; hkl 1 2 1, 2θ 31.19, d = 2.868 Å, rel. 100; hkl 2 0 0, 2θ 31.57, d = 2.834 Å, rel. 49; hkl 0 1 2, 2θ 32.35, d = 2.767 Å, rel. 18; hkl 2 0 2, 2θ 44.54, d = 2.034 Å, rel. 20; hkl 0 4 0, 2θ 44.84, d = 2.021 Å, rel. 24; hkl 2 1 -2, 2θ 45.65, d = 1.988 Å, rel. 19; hkl 2 4 0, 2θ 55.85, d = 1.646 Å, rel. 40; hkl 3 2 1, 2θ 56.06, d = 1.641 Å, rel. 22

Cell and atoms:
Cell: 5.6679 8.0847 5.8903 Å, 90.00 90.44 90.00°
Atoms (fractional coordinates):
Ac (0.0000, 0.0000, 0.0000)
Ac (0.0090, 0.5000, 0.1098)
Ac (0.4850, 0.5000, 0.6090)
Ac (0.5222, 0.0000, 0.4938)
Pd (0.0072, 0.2533, 0.5553)
Pd (0.0072, 0.7467, 0.5553)
Pd (0.5107, 0.2690, 0.0549)
Pd (0.5107, 0.7310, 0.0549)
O (0.0894, 0.0000, 0.5722)
O (0.2098, 0.3026, 0.8531)
O (0.2098, 0.6974, 0.8531)
O (0.3006, 0.3056, 0.3408)
O (0.3006, 0.6944, 0.3408)
O (0.4341, 0.0000, 0.0733)
O (0.7080, 0.2160, 0.7622)
O (0.7080, 0.7840, 0.7622)
O (0.8041, 0.2129, 0.2582)
O (0.8041, 0.7871, 0.2582)
O (0.9175, 0.5000, 0.5366)